1.
For Gd3YV4O16, a PBE+U-relaxed structure gives the computed powder XRD pattern in this record (Cu Kα (λ = 1.5418 Å)).

Atomic structure:
```
data_Gd3YV4O16
_symmetry_space_group_name_H-M 'C 2 2 2'
_symmetry_Int_Tables_number 21
_cell_length_a 6.4168
_cell_length_b 10.2820
_cell_length_c 10.2812
_cell_angle_alpha 90.00
_cell_angle_beta 90.00
_cell_angle_gamma 90.00
loop_
_symmetry_equiv_pos_as_xyz
'x,y,z'
'-x,-y,z'
'x,-y,-z'
'-x,y,-z'
'x+1/2,y+1/2,z'
'-x+1/2,-y+1/2,z'
'x+1/2,-y+1/2,-z'
'-x+1/2,y+1/2,-z'
loop_
_atom_site_label
_atom_site_type_symbol
_atom_site_fract_x
_atom_site_fract_y
_atom_site_fract_z
_atom_site_occupancy
Gd1 Gd 0.0000 0.0000 0.0000 1
Gd2 Gd 0.2500 0.2500 0.2506 1
Y1 Y 0.0000 0.5000 0.5000 1
V1 V 0.0000 0.0000 0.5000 1
V2 V 0.0000 0.5000 0.0000 1
V3 V 0.2500 0.2500 0.7484 1
O1 O 0.0766 0.1588 0.8409 1
O2 O 0.0768 0.3429 0.6568 1
O3 O 0.1739 0.4083 0.0917 1
O4 O 0.1754 0.0913 0.4087 1
```

Main lines, sorted by position (10 to 80 degrees two-theta):
| d (Å) | 2θ (°) | I (rel.) |
| --- | --- | --- |
| 4.811 | 18.4 | 33 |
| 3.635 | 24.5 | 100 |
| 2.722 | 32.9 | 69 |
| 2.570 | 34.9 | 20 |
| 2.267 | 39.8 | 14 |
| 1.869 | 48.7 | 58 |
| 1.818 | 50.2 | 16 |
| 1.626 | 56.6 | 13 |
| 1.512 | 61.3 | 17 |
| 1.361 | 69.0 | 13 |

2.
For GdY3V4O16, a PBE+U-relaxed structure gives the computed powder XRD pattern in this record (Cu Kα (λ = 1.5418 Å)).

Atomic structure:
```
data_GdY3V4O16
_symmetry_space_group_name_H-M 'C 2 2 2'
_symmetry_Int_Tables_number 21
_cell_length_a 6.3889
_cell_length_b 10.2388
_cell_length_c 10.2391
_cell_angle_alpha 90.00
_cell_angle_beta 90.00
_cell_angle_gamma 90.00
loop_
_symmetry_equiv_pos_as_xyz
'x,y,z'
'-x,-y,z'
'x,-y,-z'
'-x,y,-z'
'x+1/2,y+1/2,z'
'-x+1/2,-y+1/2,z'
'x+1/2,-y+1/2,-z'
'-x+1/2,y+1/2,-z'
loop_
_atom_site_label
_atom_site_type_symbol
_atom_site_fract_x
_atom_site_fract_y
_atom_site_fract_z
_atom_site_occupancy
Gd1 Gd 0.0000 0.0000 0.0000 1
Y1 Y 0.0000 0.5000 0.5000 1
Y2 Y 0.2500 0.2500 0.2503 1
V1 V 0.0000 0.0000 0.5000 1
V2 V 0.0000 0.5000 0.0000 1
V3 V 0.2500 0.2500 0.7488 1
O1 O 0.0752 0.1584 0.8415 1
O2 O 0.0753 0.3428 0.6571 1
O3 O 0.1730 0.4072 0.0928 1
O4 O 0.1743 0.0925 0.4075 1
```

Main lines, sorted by position (10 to 80 degrees two-theta):
| d (Å) | 2θ (°) | I (rel.) |
| --- | --- | --- |
| 4.790 | 18.5 | 20 |
| 3.620 | 24.6 | 100 |
| 2.710 | 33.1 | 65 |
| 2.560 | 35.1 | 17 |
| 2.258 | 39.9 | 12 |
| 1.861 | 48.9 | 57 |
| 1.810 | 50.4 | 16 |
| 1.619 | 56.9 | 12 |
| 1.505 | 61.6 | 17 |
| 1.355 | 69.4 | 11 |

3.
For Gd2W3O12, a PBE+U-relaxed structure gives the computed powder XRD pattern in this record (Cu Kα (λ = 1.5418 Å)).

Atomic structure:
```
data_Gd2W3O12
_symmetry_space_group_name_H-M 'C 1 2/c 1'
_symmetry_Int_Tables_number 15
_cell_length_a 7.8112
_cell_length_b 11.6292
_cell_length_c 11.5371
_cell_angle_alpha 90.00
_cell_angle_beta 109.72
_cell_angle_gamma 90.00
loop_
_symmetry_equiv_pos_as_xyz
'x,y,z'
'-x,-y,-z'
'-x,y,-z+1/2'
'x,-y,z+1/2'
'x+1/2,y+1/2,z'
'-x+1/2,-y+1/2,-z'
'-x+1/2,y+1/2,-z+1/2'
'x+1/2,-y+1/2,z+1/2'
loop_
_atom_site_label
_atom_site_type_symbol
_atom_site_fract_x
_atom_site_fract_y
_atom_site_fract_z
_atom_site_occupancy
Gd1 Gd 0.1793 0.1273 0.0947 1
W1 W 0.0000 0.1181 0.7500 1
W2 W 0.1529 0.3557 0.5479 1
O1 O 0.0130 0.0395 0.8917 1
O2 O 0.0780 0.2999 0.9622 1
O3 O 0.1112 0.2130 0.4237 1
O4 O 0.1397 0.4665 0.4385 1
O5 O 0.1968 0.2086 0.7799 1
O6 O 0.2224 0.4268 0.6979 1
```

Main lines, sorted by position (10 to 80 degrees two-theta):
| d (Å) | 2θ (°) | I (rel.) |
| --- | --- | --- |
| 5.430 | 16.3 | 16 |
| 4.831 | 18.4 | 22 |
| 3.609 | 24.7 | 30 |
| 3.242 | 27.5 | 100 |
| 3.073 | 29.1 | 70 |
| 2.907 | 30.8 | 28 |
| 2.655 | 33.8 | 32 |
| 1.961 | 46.3 | 42 |
| 1.953 | 46.5 | 15 |
| 1.648 | 55.8 | 22 |

4.
For GdWO5, a PBE+U-relaxed structure gives the computed powder XRD pattern in this record (Cu Kα (λ = 1.5418 Å)).

Atomic structure:
```
data_GdWO5
_symmetry_space_group_name_H-M 'P 1 21/c 1'
_symmetry_Int_Tables_number 14
_cell_length_a 5.3258
_cell_length_b 12.8924
_cell_length_c 7.0397
_cell_angle_alpha 90.00
_cell_angle_beta 116.38
_cell_angle_gamma 90.00
loop_
_symmetry_equiv_pos_as_xyz
'x,y,z'
'-x,-y,-z'
'-x,y+1/2,-z+1/2'
'x,-y+1/2,z+1/2'
loop_
_atom_site_label
_atom_site_type_symbol
_atom_site_fract_x
_atom_site_fract_y
_atom_site_fract_z
_atom_site_occupancy
Gd1 Gd 0.1347 0.0566 0.2849 1
W1 W 0.3898 0.1393 0.8459 1
O1 O 0.0265 0.0914 0.5695 1
O2 O 0.2036 0.0655 0.9733 1
O3 O 0.2682 0.6484 0.4268 1
O4 O 0.2945 0.2259 0.2936 1
O5 O 0.4915 0.5709 0.8420 1
```

Main lines, sorted by position (10 to 80 degrees two-theta):
| d (Å) | 2θ (°) | I (rel.) |
| --- | --- | --- |
| 6.446 | 13.7 | 52 |
| 4.475 | 19.8 | 100 |
| 3.965 | 22.4 | 74 |
| 3.421 | 26.0 | 54 |
| 3.307 | 27.0 | 69 |
| 3.267 | 27.3 | 96 |
| 3.193 | 27.9 | 54 |
| 2.870 | 31.2 | 46 |
| 2.855 | 31.3 | 81 |
| 2.601 | 34.5 | 54 |

5.
For Gd6WO12, a PBE+U-relaxed structure gives the computed powder XRD pattern in this record (Cu Kα (λ = 1.5418 Å)).

Atomic structure:
```
data_Gd6WO12
_symmetry_space_group_name_H-M 'R -3'
_symmetry_Int_Tables_number 148
_symmetry_space_group_name_Hall '-R 3'
_cell_length_a 9.9815
_cell_length_b 9.9815
_cell_length_c 9.5404
_cell_angle_alpha 90.00
_cell_angle_beta 90.00
_cell_angle_gamma 120.00
loop_
_atom_site_label
_atom_site_type_symbol
_atom_site_fract_x
_atom_site_fract_y
_atom_site_fract_z
_atom_site_occupancy
Gd1 Gd 0.0430 0.2551 0.1444 1
W1 W 0.0000 0.0000 0.5000 1
O1 O 0.0332 0.2238 0.9009 1
O2 O 0.0381 0.1820 0.3884 1
```

Main lines, sorted by position (10 to 80 degrees two-theta):
| d (Å) | 2θ (°) | I (rel.) |
| --- | --- | --- |
| 3.180 | 28.1 | 31 |
| 3.091 | 28.9 | 100 |
| 2.696 | 33.2 | 46 |
| 1.926 | 47.2 | 27 |
| 1.886 | 48.2 | 27 |
| 1.648 | 55.8 | 11 |
| 1.622 | 56.7 | 24 |
| 1.610 | 57.2 | 13 |
| 1.545 | 59.8 | 11 |
| 1.225 | 78.0 | 9 |

What did the third record say?
For Gd2W3O12, a PBE+U-relaxed structure gives the computed powder XRD pattern in this record (Cu Kα (λ = 1.5418 Å)).

Atomic structure:
```
data_Gd2W3O12
_symmetry_space_group_name_H-M 'C 1 2/c 1'
_symmetry_Int_Tables_number 15
_cell_length_a 7.8112
_cell_length_b 11.6292
_cell_length_c 11.5371
_cell_angle_alpha 90.00
_cell_angle_beta 109.72
_cell_angle_gamma 90.00
loop_
_symmetry_equiv_pos_as_xyz
'x,y,z'
'-x,-y,-z'
'-x,y,-z+1/2'
'x,-y,z+1/2'
'x+1/2,y+1/2,z'
'-x+1/2,-y+1/2,-z'
'-x+1/2,y+1/2,-z+1/2'
'x+1/2,-y+1/2,z+1/2'
loop_
_atom_site_label
_atom_site_type_symbol
_atom_site_fract_x
_atom_site_fract_y
_atom_site_fract_z
_atom_site_occupancy
Gd1 Gd 0.1793 0.1273 0.0947 1
W1 W 0.0000 0.1181 0.7500 1
W2 W 0.1529 0.3557 0.5479 1
O1 O 0.0130 0.0395 0.8917 1
O2 O 0.0780 0.2999 0.9622 1
O3 O 0.1112 0.2130 0.4237 1
O4 O 0.1397 0.4665 0.4385 1
O5 O 0.1968 0.2086 0.7799 1
O6 O 0.2224 0.4268 0.6979 1
```

Main lines, sorted by position (10 to 80 degrees two-theta):
| d (Å) | 2θ (°) | I (rel.) |
| --- | --- | --- |
| 5.430 | 16.3 | 16 |
| 4.831 | 18.4 | 22 |
| 3.609 | 24.7 | 30 |
| 3.242 | 27.5 | 100 |
| 3.073 | 29.1 | 70 |
| 2.907 | 30.8 | 28 |
| 2.655 | 33.8 | 32 |
| 1.961 | 46.3 | 42 |
| 1.953 | 46.5 | 15 |
| 1.648 | 55.8 | 22 |